1.
NpBe13: calculated powder XRD pattern (Cu Kα (weighted mean of Kα1 and Kα2)), based on DFT lattice parameters and positions (PBE).

Atomic structure:
Cell: 10.187 10.187 10.187 Å, 90.00 90.00 90.00°
Space group Fm-3c (No. 226)
One atom of each set of equivalent atoms:
1 Np 0.250 0.250 0.250 x8
2 Be 0.000 0.000 0.000 x8
3 Be 0.000 0.115 0.176 x96

Principal peaks in the range 2θ = 10–90°, in order of rising 2θ:
- (2 0 0), 17.41°, I 97
- (2 2 0), 24.72°, I 100
- (2 2 2), 30.39°, I 43
- (4 2 0), 39.56°, I 69
- (4 2 2), 43.52°, I 57
- (4 4 2), 54.01°, I 26
- (6 2 0), 57.19°, I 25
- (6 4 2), 68.99°, I 28

***

2.
KAg3Te4W: calculated powder XRD pattern (Cu Kα (weighted mean of Kα1 and Kα2)), based on DFT lattice parameters and positions (PBE).

Atomic structure:
Cell: 6.854 6.854 6.854 Å, 90.00 90.00 90.00°
Space group P-43m (No. 215)
One atom of each set of equivalent atoms:
1 K 0.000 0.000 0.000 x1
2 Ag 0.000 0.500 0.500 x3
3 Te 0.278 0.278 0.278 x4
4 W 0.500 0.500 0.500 x1

Principal peaks in the range 2θ = 10–90°, in order of rising 2θ:
- (1 0 0), 12.92°, I 73
- (1 1 1), 22.47°, I 65
- (2 2 0), 37.10°, I 100
- (2 2 1), 39.44°, I 19
- (3 1 1), 43.81°, I 27
- (3 2 0), 47.85°, I 23
- (4 0 0), 53.48°, I 15
- (4 2 2), 66.88°, I 28

***

3.
SmYCu2Pb: calculated powder XRD pattern (Cu Kα (weighted mean of Kα1 and Kα2)), based on DFT lattice parameters and positions (PBE).

Atomic structure:
Cell: 3.687 4.263 14.120 Å, 90.00 90.00 90.00°
Space group Amm2 (No. 38)
One atom of each set of equivalent atoms:
1 Sm 0.000 0.000 0.000 x2
2 Y 0.000 0.000 0.267 x2
3 Cu 0.500 0.000 0.428 x2
4 Cu 0.500 0.000 0.836 x2
5 Pb 0.500 0.000 0.635 x2

Principal peaks in the range 2θ = 10–90°, in order of rising 2θ:
- (0 1 3), 28.24°, I 39
- (1 1 1), 32.73°, I 100
- (1 0 4), 35.20°, I 61
- (0 1 5), 38.23°, I 52
- (0 2 0), 42.41°, I 25
- (1 2 4), 56.26°, I 44
- (2 1 5), 64.16°, I 25
- (1 0 10), 71.50°, I 17